This entry pairs a crystal structure of La3Dy3Tm4 with its simulated X-ray powder pattern. Radiation: CuKα. Structure: a crystal structure in Alexandria, relaxed with GGA-PBE.
Neutral-atom scattering factors, no anomalous dispersion.

Largest 12 diffraction maxima, by angle, 10 to 90 degrees two-theta:
2θ = 13.09°, d = 6.764 Å, I 11
2θ = 26.35°, d = 3.382 Å, I 12
2θ = 29.53°, d = 3.025 Å, I 57
2θ = 30.74°, d = 2.908 Å, I 29
2θ = 32.17°, d = 2.783 Å, I 100
2θ = 33.79°, d = 2.653 Å, I 17
2θ = 38.82°, d = 2.320 Å, I 11
2θ = 42.05°, d = 2.149 Å, I 11
2θ = 49.78°, d = 1.832 Å, I 11
2θ = 54.99°, d = 1.670 Å, I 19
2θ = 57.68°, d = 1.598 Å, I 14
2θ = 58.95°, d = 1.567 Å, I 16

Structural model:
```
La3Dy3Tm4
1.0
3.663 0.000 0.000
0.000 6.763 6.765
0.000 -6.763 6.765
La Dy Tm
3 3 4
Direct
0.000 0.000 0.000
0.500 0.331 0.823
0.500 0.823 0.331
0.000 0.154 0.500
0.000 0.500 0.154
0.000 0.650 0.650
0.500 0.207 0.207
0.500 0.448 0.448
0.500 0.698 0.943
0.500 0.943 0.698
```